[1]
# TeMoWSeS2
Theoretical powder diffraction line list, Cu Kα, 1.54184 Å. Input: a cell relaxed with GGA-PBE.
Peak positions follow from Bragg's law for the DFT cell and can differ from measured ones.

Crystal structure
a b c (Å): 3.3043 3.3043 37.5960
angles (deg): 90.00 90.00 120.00
Space group P3m1 (No. 156)
One atom of each set of equivalent atoms:
Te: 0.0000 0.0000 0.0000 [1 per cell]
Te: 0.0000 0.0000 0.1016 [1 per cell]
Mo: 0.6667 0.3333 0.0508 [1 per cell]
Mo: 0.6667 0.3333 0.4265 [1 per cell]
W: 0.0000 0.0000 0.2387 [1 per cell]
W: 0.0000 0.0000 0.6145 [1 per cell]
Se: 0.0000 0.0000 0.3819 [1 per cell]
Se: 0.0000 0.0000 0.4712 [1 per cell]
S: 0.6667 0.3333 0.1979 [1 per cell]
S: 0.6667 0.3333 0.2795 [1 per cell]
S: 0.6667 0.3333 0.5737 [1 per cell]
S: 0.6667 0.3333 0.6552 [1 per cell]

The 10 most intense peaks (5° ≤ 2θ ≤ 70°), sorted by position:
hkl	2θ (°)	I_rel
0 0 3	7.05	29.9
0 0 5	11.77	100.0
0 0 6	14.13	23.0
0 0 8	18.88	17.2
1 0 0	31.27	47.3
1 0 5	33.51	15.7
1 0 8	36.77	81.7
0 1 13	44.54	41.7
1 0 14	46.37	14.5
1 1 0	55.64	24.5


[2]
# ZnTe
Theoretical powder diffraction line list, Cu Kα, 1.54184 Å. Input: a cell relaxed with GGA-PBE.
Peak positions follow from Bragg's law for the DFT cell and can differ from measured ones.

Crystal structure
a b c (Å): 4.3490 4.3490 9.7760
angles (deg): 90.00 90.00 120.00
Space group P6_422 (No. 181)
One atom of each set of equivalent atoms:
Zn: 0.0000 0.5000 0.3333 [3 per cell]
Te: 0.0000 0.5000 0.8333 [3 per cell]

The 10 most intense peaks (5° ≤ 2θ ≤ 70°), sorted by position:
hkl	2θ (°)	I_rel
1 0 0	23.62	22.8
1 0 1	25.34	10.9
1 0 2	29.95	100.0
1 1 0	41.53	5.1
1 0 4	44.18	34.0
1 1 2	45.66	30.9
2 0 0	48.33	29.3
0 0 6	56.46	8.8
1 1 4	56.66	16.0
2 1 2	68.67	17.6


[3]
# BaMg14CuO16
Theoretical powder diffraction line list, Cu Kα, 1.54184 Å. Input: a cell relaxed with GGA-PBE.
Peak positions follow from Bragg's law for the DFT cell and can differ from measured ones.

Crystal structure
a b c (Å): 4.469 8.634 8.912
angles (deg): 90.00 90.00 90.00
Space group Pmmm (No. 47)
One atom of each set of equivalent atoms:
Ba: 0.000 0.000 0.000 [1 per cell]
Mg: 0.000 0.000 0.500 [1 per cell]
Mg: 0.000 0.260 0.262 [4 per cell]
Mg: 0.000 0.500 0.500 [1 per cell]
Mg: 0.500 0.000 0.268 [2 per cell]
Mg: 0.500 0.254 0.500 [2 per cell]
Mg: 0.500 0.268 0.000 [2 per cell]
Mg: 0.500 0.500 0.253 [2 per cell]
Cu: 0.000 0.500 0.000 [1 per cell]
O: 0.000 0.000 0.280 [2 per cell]
O: 0.000 0.253 0.500 [2 per cell]
O: 0.000 0.283 0.000 [2 per cell]
O: 0.000 0.500 0.272 [2 per cell]
O: 0.500 0.000 0.000 [1 per cell]
O: 0.500 0.000 0.500 [1 per cell]
O: 0.500 0.250 0.249 [4 per cell]
O: 0.500 0.500 0.000 [1 per cell]
O: 0.500 0.500 0.500 [1 per cell]

The 10 most intense peaks (5° ≤ 2θ ≤ 70°), sorted by position:
hkl	2θ (°)	I_rel
0 0 1	9.93	59.7
0 0 2	19.90	41.4
0 2 2	28.77	34.9
1 2 1	30.49	30.2
1 2 2	35.23	75.4
2 0 0	40.37	97.2
0 0 4	40.49	91.0
0 4 0	41.85	83.0
2 0 4	58.50	54.1
2 4 0	59.59	100.0


- Number 1 is which compound?
  TeMoWSeS2